Diffraction record for LiAcV2O7. The powder XRD pattern is theoretical, not measured: it uses DFT lattice parameters and positions (PBE+U) and Cu Kα (weighted mean of Kα1 and Kα2).

Top 10 peaks for 2θ from 5° to 70°, low angle first:
9.0 deg, d = 9.841 Å, I = 100.0; 24.1 deg, d = 3.686 Å, I = 11.2; 27.4 deg, d = 3.257 Å, I = 53.8; 33.0 deg, d = 2.716 Å, I = 24.7; 33.8 deg, d = 2.653 Å, I = 16.3; 35.0 deg, d = 2.562 Å, I = 13.4; 38.5 deg, d = 2.335 Å, I = 10.2; 43.9 deg, d = 2.063 Å, I = 13.3; 48.5 deg, d = 1.876 Å, I = 12.0; 56.6 deg, d = 1.626 Å, I = 14.0

a = 10.192 Å, b = 10.192 Å, c = 10.192 Å
α = 158.78°, β = 158.78°, γ = 30.18°
Fractional coordinates of all 11 atoms:
Li1 0.000 0.000 0.000
Ac1 0.250 0.750 0.500
V1 0.631 0.131 0.500
V2 0.869 0.369 0.500
O1 0.148 0.148 0.000
O2 0.350 0.350 0.000
O3 0.546 0.046 0.500
O4 0.650 0.650 0.000
O5 0.750 0.250 0.500
O6 0.852 0.852 0.000
O7 0.954 0.454 0.500